Simulated powder X-ray diffraction pattern
Compound: Zr2Co3Ni4
Radiation: Cu Kα (weighted mean of Kα1 and Kα2)
Structure: a cell relaxed with GGA-PBE
Intensities are scaled so that the largest is 1000.

Top 8 peaks for 10° ≤ 2θ ≤ 80°, sorted by position:
- 2θ 38.57, I = 224, hkl 1 3 1
- 2θ 38.87, I = 237, hkl 2 0 0
- 2θ 43.28, I = 233, hkl 1 1 5
- 2θ 44.11, I = 1000, hkl 1 3 3
- 2θ 44.54, I = 283, hkl 0 0 6
- 2θ 47.32, I = 187, hkl 2 2 2
- 2θ 49.39, I = 189, hkl 2 0 4
- 2θ 74.02, I = 195, hkl 3 3 3

Crystal structure
Cell lengths 4.6343, 8.3117, 12.2059 Å; angles 90.00, 90.00, 90.00 degrees
Space group Fmmm (No. 69)
Asymmetric unit:
Zr: 0.0000 0.0000 0.1355
Co: 0.0000 0.0000 0.5000
Co: 0.2500 0.2500 0.0000
Ni: 0.0000 0.1657 0.3293



Simulated powder X-ray diffraction pattern
Compound: PtN2F6
Radiation: Cu Kα (weighted mean of Kα1 and Kα2)
Structure: a cell relaxed with GGA-PBE
Intensities are scaled so that the largest is 1000.

Top 8 peaks for 10° ≤ 2θ ≤ 80°, sorted by position:
- 2θ 18.45, I = 1000, hkl 1 1 1
- 2θ 21.34, I = 515, hkl 2 0 0
- 2θ 30.36, I = 343, hkl 2 2 0
- 2θ 35.76, I = 471, hkl 3 1 1
- 2θ 43.47, I = 206, hkl 4 0 0
- 2θ 48.91, I = 227, hkl 4 2 0
- 2θ 57.50, I = 197, hkl 5 1 1
- 2θ 66.41, I = 187, hkl 5 3 1

Crystal structure
Cell lengths 8.3280, 8.3280, 8.3280 Å; angles 90.00, 90.00, 90.00 degrees
Space group Fm-3m (No. 225)
Asymmetric unit:
Pt: 0.0000 0.0000 0.0000
N: 0.2500 0.2500 0.2500
F: 0.0000 0.0000 0.2294



Simulated powder X-ray diffraction pattern
Compound: Ac4Tl3Pd
Radiation: Cu Kα (weighted mean of Kα1 and Kα2)
Structure: a cell relaxed with GGA-PBE
Intensities are scaled so that the largest is 1000.

Top 8 peaks for 10° ≤ 2θ ≤ 80°, sorted by position:
- 2θ 30.76, I = 1000, hkl 1 0 4
- 2θ 32.53, I = 481, hkl 1 1 0
- 2θ 41.33, I = 80, hkl 0 0 8
- 2θ 46.67, I = 180, hkl 2 0 0
- 2θ 53.56, I = 152, hkl 1 1 8
- 2θ 56.94, I = 364, hkl 2 1 4
- 2θ 64.08, I = 90, hkl 2 0 8
- 2θ 77.55, I = 86, hkl 3 1 0

Crystal structure
Cell lengths 3.8928, 3.8928, 17.4753 Å; angles 90.00, 90.00, 90.00 degrees
Space group P4/mmm (No. 123)
Asymmetric unit:
Ac: 0.0000 0.0000 0.1045
Ac: 0.0000 0.0000 0.3669
Tl: 0.5000 0.5000 0.2376
Tl: 0.5000 0.5000 0.5000
Pd: 0.5000 0.5000 0.0000



Simulated powder X-ray diffraction pattern
Compound: Ti7SeI12
Radiation: Cu Kα (weighted mean of Kα1 and Kα2)
Structure: a cell relaxed with GGA-PBE
Intensities are scaled so that the largest is 1000.

Top 8 peaks for 10° ≤ 2θ ≤ 80°, sorted by position:
- 2θ 26.13, I = 714, hkl 4 -3 1
- 2θ 27.31, I = 215, hkl 0 0 3
- 2θ 30.61, I = 1000, hkl 3 1 2
- 2θ 43.07, I = 340, hkl 2 5 0
- 2θ 44.60, I = 335, hkl 4 -3 4
- 2θ 51.07, I = 129, hkl 6 2 1
- 2θ 51.75, I = 229, hkl 2 5 3
- 2θ 53.76, I = 155, hkl 8 -6 2

Crystal structure
Cell lengths 15.1439, 15.1439, 9.7983 Å; angles 90.00, 90.00, 120.00 degrees
Space group R-3 (No. 148, hexagonal axes)
Asymmetric unit:
Ti: 0.0000 0.0000 0.0000
Ti: 0.0416 0.1455 0.3552
Se: 0.0000 0.0000 0.5000
I: 0.0428 0.5923 0.1643
I: 0.0505 0.1743 0.8315



Simulated powder X-ray diffraction pattern
Compound: CaMg2In5
Radiation: Cu Kα (weighted mean of Kα1 and Kα2)
Structure: a cell relaxed with GGA-PBE
Intensities are scaled so that the largest is 1000.

Top 8 peaks for 10° ≤ 2θ ≤ 80°, sorted by position:
- 2θ 19.81, I = 123, hkl 0 0 4
- 2θ 26.67, I = 132, hkl 1 1 0
- 2θ 33.44, I = 1000, hkl 1 1 4
- 2θ 38.07, I = 359, hkl 2 0 0
- 2θ 40.25, I = 136, hkl 0 0 8
- 2θ 54.94, I = 119, hkl 2 2 0
- 2θ 56.60, I = 193, hkl 2 0 8
- 2θ 65.86, I = 262, hkl 3 1 4

Crystal structure
Cell lengths 4.7273, 4.7273, 17.9250 Å; angles 90.00, 90.00, 90.00 degrees
Space group I4/mmm (No. 139)
Asymmetric unit:
Ca: 0.0000 0.0000 0.0000
Mg: 0.0000 0.0000 0.2475
In: 0.0000 0.0000 0.5000
In: 0.0000 0.5000 0.1331



Simulated powder X-ray diffraction pattern
Compound: DyHfTi2O8
Radiation: Cu Kα (weighted mean of Kα1 and Kα2)
Structure: a cell relaxed with GGA-PBE
Intensities are scaled so that the largest is 1000.

Top 8 peaks for 10° ≤ 2θ ≤ 80°, sorted by position:
- 2θ 19.34, I = 430, hkl 1 0 1
- 2θ 29.93, I = 1000, hkl 1 1 2
- 2θ 35.37, I = 185, hkl 2 0 0
- 2θ 40.62, I = 160, hkl 2 1 1
- 2θ 49.37, I = 311, hkl 2 0 4
- 2θ 50.88, I = 151, hkl 2 2 0
- 2θ 57.45, I = 160, hkl 1 1 6
- 2θ 60.16, I = 277, hkl 1 3 2

Crystal structure
Cell lengths 5.0758, 5.0758, 10.7581 Å; angles 90.00, 90.00, 90.00 degrees
Space group I-4 (No. 82)
Asymmetric unit:
Dy: 0.0000 0.0000 0.0000
Hf: 0.0000 0.5000 0.7500
Ti: 0.0000 0.0000 0.5000
Ti: 0.0000 0.5000 0.2500
O: 0.1630 0.2627 0.5919
O: 0.1864 0.7631 0.1684



Simulated powder X-ray diffraction pattern
Compound: Zr6Pd2C
Radiation: Cu Kα (weighted mean of Kα1 and Kα2)
Structure: a cell relaxed with GGA-PBE
Intensities are scaled so that the largest is 1000.

Top 8 peaks for 10° ≤ 2θ ≤ 80°, sorted by position:
- 2θ 33.02, I = 524, hkl 1 0 -4
- 2θ 33.71, I = 1000, hkl 0 2 2
- 2θ 34.09, I = 524, hkl 2 1 -1
- 2θ 34.71, I = 462, hkl 2 1 -3
- 2θ 36.71, I = 320, hkl 1 2 1
- 2θ 37.82, I = 281, hkl 2 1 0
- 2θ 38.75, I = 420, hkl 0 0 4
- 2θ 40.26, I = 344, hkl 0 2 3

Crystal structure
Cell lengths 5.9856, 6.4828, 10.8786 Å; angles 90.00, 121.29, 90.00 degrees
Space group P2_1/c (No. 14)
Asymmetric unit:
Zr: 0.1162 0.0157 0.2392
Zr: 0.2248 0.6936 0.0463
Zr: 0.3636 0.1886 0.0503
Pd: 0.3196 0.0932 0.7546
C: 0.0000 0.0000 0.0000



Simulated powder X-ray diffraction pattern
Compound: NiRh5
Radiation: Cu Kα (weighted mean of Kα1 and Kα2)
Structure: a cell relaxed with GGA-PBE
Intensities are scaled so that the largest is 1000.

Top 8 peaks for 10° ≤ 2θ ≤ 80°, sorted by position:
- 2θ 10.98, I = 28, hkl 0 0 1
- 2θ 32.48, I = 23, hkl 0 1 2
- 2θ 40.97, I = 1000, hkl 1 1 0
- 2θ 41.23, I = 975, hkl 0 1 3
- 2θ 47.64, I = 637, hkl 1 0 3
- 2θ 48.17, I = 310, hkl 0 2 0
- 2θ 69.30, I = 101, hkl 2 0 0
- 2θ 70.08, I = 483, hkl 1 2 3

Crystal structure
Cell lengths 2.7118, 3.7778, 8.0611 Å; angles 90.00, 90.00, 90.00 degrees
Space group Pmmm (No. 47)
Asymmetric unit:
Ni: 0.0000 0.0000 0.0000
Rh: 0.0000 0.0000 0.3286
Rh: 0.5000 0.5000 0.1606
Rh: 0.5000 0.5000 0.5000



Simulated powder X-ray diffraction pattern
Compound: Dy8BiC4
Radiation: Cu Kα (weighted mean of Kα1 and Kα2)
Structure: a cell relaxed with GGA-PBE
Intensities are scaled so that the largest is 1000.

Top 8 peaks for 10° ≤ 2θ ≤ 80°, sorted by position:
- 2θ 28.90, I = 351, hkl 1 1 1
- 2θ 30.85, I = 710, hkl 6 0 -3
- 2θ 31.92, I = 1000, hkl 3 1 0
- 2θ 32.49, I = 447, hkl 2 0 -4
- 2θ 33.43, I = 952, hkl 3 1 -3
- 2θ 34.45, I = 430, hkl 4 0 1
- 2θ 51.87, I = 380, hkl 1 1 4
- 2θ 60.13, I = 220, hkl 6 2 -3

Crystal structure
Cell lengths 17.4849, 3.6318, 11.9286 Å; angles 90.00, 130.84, 90.00 degrees
Space group C2/m (No. 12)
Asymmetric unit:
Dy: 0.0411 0.0000 0.2357
Dy: 0.1312 0.5000 0.0882
Dy: 0.1660 0.5000 0.8413
Dy: 0.2057 0.5000 0.5688
Bi: 0.0000 0.0000 0.5000
C: 0.1486 0.0000 0.9602
C: 0.1664 0.5000 0.3300



Simulated powder X-ray diffraction pattern
Compound: Pr8Er3Th
Radiation: Cu Kα (weighted mean of Kα1 and Kα2)
Structure: a cell relaxed with GGA-PBE
Intensities are scaled so that the largest is 1000.

Top 8 peaks for 10° ≤ 2θ ≤ 80°, sorted by position:
- 2θ 27.96, I = 234, hkl 3 0 1
- 2θ 30.23, I = 258, hkl 0 4 0
- 2θ 31.87, I = 1000, hkl 3 2 1
- 2θ 41.64, I = 161, hkl 3 4 1
- 2θ 49.54, I = 128, hkl 3 0 3
- 2θ 54.74, I = 218, hkl 3 6 1
- 2θ 59.14, I = 152, hkl 3 4 3
- 2θ 60.00, I = 108, hkl 6 2 2

Crystal structure
Cell lengths 11.0780, 11.8272, 6.3673 Å; angles 90.00, 90.00, 90.00 degrees
Space group Imm2 (No. 44)
Asymmetric unit:
Pr: 0.1602 0.0000 0.0000
Pr: 0.1620 0.2498 0.3396
Pr: 0.1659 0.5000 0.9942
Er: 0.0000 0.2500 0.8264
Er: 0.0000 0.5000 0.5023
Th: 0.0000 0.0000 0.5117



Simulated powder X-ray diffraction pattern
Compound: K2BiSb2O6
Radiation: Cu Kα (weighted mean of Kα1 and Kα2)
Structure: a cell relaxed with GGA-PBE
Intensities are scaled so that the largest is 1000.

Top 8 peaks for 10° ≤ 2θ ≤ 80°, sorted by position:
- 2θ 13.24, I = 301, hkl 0 0 1
- 2θ 18.80, I = 647, hkl 1 1 -1
- 2θ 19.68, I = 468, hkl 2 0 0
- 2θ 27.88, I = 1000, hkl 1 1 -2
- 2θ 27.98, I = 495, hkl 0 2 0
- 2θ 30.23, I = 869, hkl 3 1 -1
- 2θ 40.18, I = 336, hkl 2 2 1
- 2θ 50.92, I = 300, hkl 3 3 -1

Crystal structure
Cell lengths 10.0112, 6.3788, 7.4181 Å; angles 90.00, 115.66, 90.00 degrees
Space group C2/m (No. 12)
Asymmetric unit:
K: 0.1955 0.0000 0.1342
Bi: 0.0000 0.0000 0.5000
Sb: 0.0707 0.5000 0.2392
O: 0.0479 0.2570 0.7564
O: 0.2448 0.0000 0.5208



Simulated powder X-ray diffraction pattern
Compound: NaLi7Si5
Radiation: Cu Kα (weighted mean of Kα1 and Kα2)
Structure: a cell relaxed with GGA-PBE
Intensities are scaled so that the largest is 1000.

Top 8 peaks for 10° ≤ 2θ ≤ 80°, sorted by position:
- 2θ 14.20, I = 563, hkl 0 1 1
- 2θ 19.90, I = 1000, hkl 0 0 2
- 2θ 27.84, I = 321, hkl 1 2 1
- 2θ 28.62, I = 444, hkl 0 2 2
- 2θ 38.36, I = 637, hkl 2 2 0
- 2θ 40.43, I = 629, hkl 0 0 4
- 2θ 41.40, I = 329, hkl 0 4 0
- 2θ 43.58, I = 619, hkl 2 2 2

Crystal structure
Cell lengths 5.5676, 8.7236, 8.9235 Å; angles 90.00, 90.00, 90.00 degrees
Space group Imm2 (No. 44)
Asymmetric unit:
Na: 0.0000 0.0000 0.0000
Li: 0.0000 0.0000 0.3488
Li: 0.0000 0.0000 0.6818
Li: 0.0000 0.2979 0.4886
Li: 0.0000 0.3303 0.9611
Li: 0.0000 0.5000 0.2431
Si: 0.0000 0.5000 0.7135
Si: 0.2136 0.2390 0.2226



Simulated powder X-ray diffraction pattern
Compound: Er5CoCu4
Radiation: Cu Kα (weighted mean of Kα1 and Kα2)
Structure: a cell relaxed with GGA-PBE
Intensities are scaled so that the largest is 1000.

Top 8 peaks for 10° ≤ 2θ ≤ 80°, sorted by position:
- 2θ 25.78, I = 109, hkl 0 0 5
- 2θ 26.28, I = 214, hkl 1 0 0
- 2θ 37.14, I = 1000, hkl 1 0 5
- 2θ 37.51, I = 493, hkl 1 1 0
- 2θ 54.09, I = 169, hkl 2 0 0
- 2θ 66.72, I = 168, hkl 1 1 10
- 2θ 67.44, I = 338, hkl 2 1 5
- 2θ 79.14, I = 103, hkl 2 0 10

Crystal structure
Cell lengths 3.3909, 3.3909, 17.2804 Å; angles 90.00, 90.00, 90.00 degrees
Space group P4/mmm (No. 123)
Asymmetric unit:
Er: 0.0000 0.0000 0.0000
Er: 0.0000 0.0000 0.2028
Er: 0.0000 0.0000 0.4060
Co: 0.5000 0.5000 0.5000
Cu: 0.5000 0.5000 0.1005
Cu: 0.5000 0.5000 0.3034